Starting from the GGA+U geometry in Alexandria, the powder X-ray diffraction pattern of NaAcMn2F8 was simulated for Cu Kα (weighted mean of Kα1 and Kα2).
Lines closer than 0.1° are merged.

Top 12 peaks for 10 to 90 degrees two-theta, by angle:
Position (°2θ)	intensity
15.5	28
17.6	56
22.4	24
27.3	100
28.2	18
35.6	15
36.6	23
43.0	15
45.2	41
45.6	21
53.2	15
54.0	29

Atomic structure:
Cell lengths 5.6249, 5.6249, 11.4682 Å; angles 90.00, 90.00, 90.00 degrees
Space group I-4 (No. 82)
Asymmetric unit:
Na 0.0000 0.0000 0.0000 [2 per cell]
Ac 0.0000 0.5000 0.2500 [2 per cell]
Mn 0.0000 0.0000 0.5000 [2 per cell]
Mn 0.0000 0.5000 0.7500 [2 per cell]
F 0.1928 0.2438 0.4031 [8 per cell]
F 0.1928 0.7462 0.8453 [8 per cell]